This entry pairs a crystal structure of Y2HoIn3Ir2 with its simulated X-ray diffraction stick pattern. Radiation: Cu Kα. Structure: a structure optimized by DFT (PBE).
Lines closer than 0.1° are merged.

Structural model:
```
data_Y2HoIn3Ir2
_chemical_formula_sum 'Y2 Ho1 In3 Ir2'
_symmetry_space_group_name_H-M 'P 1'
_symmetry_Int_Tables_number 1
_cell_length_a 3.680
_cell_length_b 7.598
_cell_length_c 7.598
_cell_angle_alpha 119.77
_cell_angle_beta 90.00
_cell_angle_gamma 90.00
loop_
_symmetry_equiv_pos_as_xyz
'x,y,z'
loop_
_atom_site_label
_atom_site_type_symbol
_atom_site_fract_x
_atom_site_fract_y
_atom_site_fract_z
Y1 Y 0.000 0.210 0.790
Y2 Y 0.000 0.790 0.210
Ho1 Ho 0.000 0.633 0.633
In1 In 0.500 0.211 0.445
In2 In 0.500 0.445 0.211
In3 In 0.500 0.975 0.975
Ir1 Ir 0.500 0.545 0.874
Ir2 Ir 0.500 0.874 0.545
```

Peak list (12 most intense, 2θ from 10° to 90°, by intensity)
2theta  I_rel
33.9  100
36.6  68
36.0  51
13.4  31
62.8  28
36.1  22
43.9  19
49.5  18
24.2  16
41.1  14
67.0  12
70.5  10

=====

This entry pairs a crystal structure of Ho2ZrIn3Ir2 with its simulated X-ray diffraction stick pattern. Radiation: Cu Kα. Structure: a structure optimized by DFT (PBE).
Lines closer than 0.1° are merged.

Structural model:
```
data_Ho2ZrIn3Ir2
_chemical_formula_sum 'Ho2 Zr1 In3 Ir2'
_symmetry_space_group_name_H-M 'P 1'
_symmetry_Int_Tables_number 1
_cell_length_a 3.497
_cell_length_b 7.607
_cell_length_c 7.607
_cell_angle_alpha 119.33
_cell_angle_beta 90.00
_cell_angle_gamma 90.00
loop_
_symmetry_equiv_pos_as_xyz
'x,y,z'
loop_
_atom_site_label
_atom_site_type_symbol
_atom_site_fract_x
_atom_site_fract_y
_atom_site_fract_z
Ho1 Ho 0.000 0.210 0.790
Ho2 Ho 0.000 0.790 0.210
Zr1 Zr 0.000 0.363 0.363
In1 In 0.500 0.025 0.025
In2 In 0.500 0.555 0.784
In3 In 0.500 0.784 0.555
Ir1 Ir 0.500 0.134 0.452
Ir2 Ir 0.500 0.452 0.134
```

Peak list (12 most intense, 2θ from 10° to 90°, by intensity)
2theta  I_rel
34.9  100
37.4  68
34.7  55
36.0  43
35.7  40
37.6  39
36.1  37
40.8  26
52.3  25
13.5  23
13.4  21
65.1  21

=====

This entry pairs a crystal structure of LaHoZn2In2 with its simulated X-ray diffraction stick pattern. Radiation: Cu Kα. Structure: a structure optimized by DFT (PBE).
Lines closer than 0.1° are merged.

Structural model:
```
data_LaHoZn2In2
_chemical_formula_sum 'La1 Ho1 Zn2 In2'
_symmetry_space_group_name_H-M 'P 1'
_symmetry_Int_Tables_number 1
_cell_length_a 4.712
_cell_length_b 4.712
_cell_length_c 7.568
_cell_angle_alpha 90.00
_cell_angle_beta 90.00
_cell_angle_gamma 120.00
loop_
_symmetry_equiv_pos_as_xyz
'x,y,z'
loop_
_atom_site_label
_atom_site_type_symbol
_atom_site_fract_x
_atom_site_fract_y
_atom_site_fract_z
La1 La 0.000 0.000 0.000
Ho1 Ho 0.000 0.000 0.501
Zn1 Zn 0.333 0.667 0.215
Zn2 Zn 0.667 0.333 0.687
In1 In 0.333 0.667 0.762
In2 In 0.667 0.333 0.288
```

Peak list (12 most intense, 2θ from 10° to 90°, by intensity)
2theta  I_rel
32.3  100
38.2  66
50.8  28
65.3  26
63.0  18
69.1  11
42.1  11
24.8  10
21.8  7
88.5  7
81.8  7
48.1  7

=====

This entry pairs a crystal structure of Ho2Lu2In with its simulated X-ray diffraction stick pattern. Radiation: Cu Kα. Structure: a structure optimized by DFT (PBE).
Lines closer than 0.1° are merged.

Structural model:
```
data_Ho2Lu2In
_chemical_formula_sum 'Ho4 Lu4 In2'
_symmetry_space_group_name_H-M 'P 1'
_symmetry_Int_Tables_number 1
_cell_length_a 8.009
_cell_length_b 8.009
_cell_length_c 4.590
_cell_angle_alpha 90.00
_cell_angle_beta 90.00
_cell_angle_gamma 90.00
loop_
_symmetry_equiv_pos_as_xyz
'x,y,z'
loop_
_atom_site_label
_atom_site_type_symbol
_atom_site_fract_x
_atom_site_fract_y
_atom_site_fract_z
Ho1 Ho 0.153 0.347 0.000
Ho2 Ho 0.347 0.847 0.000
Ho3 Ho 0.653 0.153 0.000
Ho4 Ho 0.847 0.653 0.000
Lu1 Lu 0.147 0.647 0.500
Lu2 Lu 0.353 0.147 0.500
Lu3 Lu 0.647 0.853 0.500
Lu4 Lu 0.853 0.353 0.500
In1 In 0.000 0.000 0.500
In2 In 0.500 0.500 0.500
```

Peak list (12 most intense, 2θ from 10° to 90°, by intensity)
2theta  I_rel
31.7  100
35.4  33
66.0  22
53.9  20
39.3  16
51.0  13
45.3  12
66.4  12
48.2  7
15.6  7
63.8  6
61.5  5

=====

This entry pairs a crystal structure of Ho2LuIn3Pt2 with its simulated X-ray diffraction stick pattern. Radiation: Cu Kα. Structure: a structure optimized by DFT (PBE).
Lines closer than 0.1° are merged.

Structural model:
```
data_Ho2LuIn3Pt2
_chemical_formula_sum 'Ho2 Lu1 In3 Pt2'
_symmetry_space_group_name_H-M 'P 1'
_symmetry_Int_Tables_number 1
_cell_length_a 3.596
_cell_length_b 7.670
_cell_length_c 7.670
_cell_angle_alpha 119.87
_cell_angle_beta 90.00
_cell_angle_gamma 90.00
loop_
_symmetry_equiv_pos_as_xyz
'x,y,z'
loop_
_atom_site_label
_atom_site_type_symbol
_atom_site_fract_x
_atom_site_fract_y
_atom_site_fract_z
Ho1 Ho 0.000 0.211 0.789
Ho2 Ho 0.000 0.789 0.211
Lu1 Lu 0.000 0.632 0.632
In1 In 0.500 0.212 0.441
In2 In 0.500 0.441 0.212
In3 In 0.500 0.978 0.978
Pt1 Pt 0.500 0.545 0.874
Pt2 Pt 0.500 0.874 0.545
```

Peak list (12 most intense, 2θ from 10° to 90°, by intensity)
2theta  I_rel
34.2  100
35.7  69
36.8  69
13.3  28
63.6  26
40.7  19
50.8  17
69.9  15
56.0  15
44.0  14
66.7  11
49.4  10

=====

This entry pairs a crystal structure of Ho2LuScIn2 with its simulated X-ray diffraction stick pattern. Radiation: Cu Kα. Structure: a structure optimized by DFT (PBE).
Lines closer than 0.1° are merged.

Structural model:
```
data_Ho2LuScIn2
_chemical_formula_sum 'Ho2 Lu1 Sc1 In2'
_symmetry_space_group_name_H-M 'P 1'
_symmetry_Int_Tables_number 1
_cell_length_a 5.232
_cell_length_b 5.232
_cell_length_c 6.593
_cell_angle_alpha 90.00
_cell_angle_beta 90.00
_cell_angle_gamma 120.00
loop_
_symmetry_equiv_pos_as_xyz
'x,y,z'
loop_
_atom_site_label
_atom_site_type_symbol
_atom_site_fract_x
_atom_site_fract_y
_atom_site_fract_z
Ho1 Ho 0.000 0.000 0.245
Ho2 Ho 0.000 0.000 0.755
Lu1 Lu 0.333 0.667 0.500
Sc1 Sc 0.667 0.333 0.000
In1 In 0.333 0.667 0.000
In2 In 0.667 0.333 0.500
```

Peak list (12 most intense, 2θ from 10° to 90°, by intensity)
2theta  I_rel
33.6  100
34.3  91
61.0  36
48.8  35
67.1  25
61.4  17
82.1  15
19.6  13
87.6  13
72.2  10
55.8  7
13.4  6